No. 1
Starting from a DFT-relaxed cell (PBE, Alexandria), the powder XRD pattern of Hg3Te was calculated for Cu Kα (λ = 1.5418 Å).

Atomic structure:
Cell: 4.229 4.229 27.028 Å, 90.00 90.00 90.00°
Space group I4/mmm (No. 139)
Symmetry-distinct sites (fractional):
Hg (0.000, 0.000, 0.125) x4
Hg (0.000, 0.500, 0.000) x4
Hg (0.000, 0.500, 0.250) x4
Te (0.000, 0.000, 0.375) x4

Main lines, by intensity (10 to 80 degrees two-theta):
2theta  d/Å  intensity  hkl
32.75  2.735  100.0  1 1 4
26.38  3.379  43.2  0 0 8
50.74  1.799  29.6  1 1 12
50.95  1.792  29.3  2 0 8
42.76  2.115  24.3  2 0 0
71.98  1.312  21.2  3 1 4
68.64  1.367  12.1  2 2 8
71.48  1.320  10.8  2 0 16
77.51  1.232  8.8  1 1 20
62.07  1.495  8.1  2 2 0



No. 2
Starting from a DFT-relaxed cell (PBE, Alexandria), the powder XRD pattern of Na3CaS4O12 was calculated for Cu Kα (λ = 1.5418 Å).

Atomic structure:
Cell: 10.8967 10.8967 8.2874 Å, 90.00 90.00 120.00°
Space group R32 (No. 155, hexagonal axes)
Symmetry-distinct sites (fractional):
Na (0.0000, 0.5641, 0.0000) x9
Ca (0.0000, 0.0000, 0.0000) x3
S (0.0000, 0.0000, 0.5000) x3
S (0.0000, 0.4214, 0.5000) x9
O (0.0000, 0.5599, 0.5000) x9
O (0.0000, 0.8680, 0.5000) x9
O (0.0199, 0.1856, 0.1888) x18

Main lines, by intensity (10 to 80 degrees two-theta):
2theta  d/Å  intensity  hkl
28.67  3.114  100.0  2 0 2
27.22  3.276  32.3  2 1 1
47.96  1.897  18.8  0 2 4
61.35  1.511  16.8  5 2 0
32.41  2.762  16.1  0 0 3
33.14  2.703  15.5  1 2 2
47.38  1.919  14.3  2 3 2
36.47  2.464  13.3  1 1 3
35.98  2.496  10.3  1 3 1
32.88  2.724  10.1  2 2 0



No. 3
Starting from a DFT-relaxed cell (PBE, Alexandria), the powder XRD pattern of P3C4 was calculated for Cu Kα (λ = 1.5418 Å).

Atomic structure:
Cell: 4.156 4.156 4.156 Å, 90.00 90.00 90.00°
Space group P-43m (No. 215)
Symmetry-distinct sites (fractional):
P (0.000, 0.000, 0.500) x3
C (0.245, 0.245, 0.245) x4

Main lines, by intensity (10 to 80 degrees two-theta):
2theta  d/Å  intensity  hkl
37.48  2.400  100.0  1 1 1
63.29  1.469  45.4  2 2 0
21.38  4.156  37.9  1 0 0
75.93  1.253  32.8  3 1 1
30.42  2.939  25.9  1 1 0
43.55  2.078  12.8  2 0 0
49.01  1.859  11.2  2 1 0
54.05  1.697  8.9  2 1 1
67.62  1.385  5.7  2 2 1
71.83  1.314  3.8  3 1 0



No. 4
Starting from a DFT-relaxed cell (PBE, Alexandria), the powder XRD pattern of KPtO was calculated for Cu Kα (λ = 1.5418 Å).

Atomic structure:
Cell: 4.181 4.181 3.797 Å, 90.00 90.00 90.00°
Space group P4/mmm (No. 123)
Symmetry-distinct sites (fractional):
K (0.000, 0.000, 0.000) x1
Pt (0.500, 0.500, 0.500) x1
O (0.500, 0.500, 0.000) x1

Main lines, by intensity (10 to 80 degrees two-theta):
2theta  d/Å  intensity  hkl
31.84  2.811  100.0  1 0 1
21.25  4.181  81.5  1 0 0
30.23  2.957  77.2  1 1 0
54.72  1.678  43.9  2 1 1
43.28  2.091  28.4  2 0 0
57.71  1.597  23.7  1 1 2
38.60  2.333  23.7  1 1 1
23.43  3.797  19.7  0 0 1
48.69  1.870  19.0  2 1 0
66.53  1.405  15.3  2 0 2